Simulated X-ray diffraction stick pattern
Compound: Tb5NdCd6
Radiation: a wavelength of 1.5418 Å
Structure: a PBE-relaxed structure
Intensities are scaled so that the largest is 100.

Peak list (10 most intense, 2θ = 15–90°, low angle first)
| h k l | two_theta | I_rel |
| --- | --- | --- |
| 1 2 1 | 33.51 | 100 |
| 2 0 -1 | 33.70 | 49 |
| 0 4 0 | 47.82 | 9 |
| 2 0 2 | 48.41 | 18 |
| 2 4 -1 | 59.77 | 18 |
| 3 2 0 | 60.13 | 27 |
| 3 2 -3 | 60.22 | 9 |
| 2 4 2 | 70.41 | 11 |
| 1 6 1 | 79.82 | 8 |
| 4 0 1 | 80.80 | 8 |

Structure:
a b c (Å): 5.314 7.609 8.411
angles (deg): 90.00 108.32 90.00
Space group P2/m (No. 10)
Inequivalent atoms, fractional coordinates:
Tb  0.000  0.000  0.000
Tb  0.332  0.500  0.665
Tb  0.335  0.000  0.670
Nd  0.000  0.500  0.000
Cd  0.169  0.246  0.339
Cd  0.500  0.245  0.000



Simulated X-ray diffraction stick pattern
Compound: Ba2AcO3
Radiation: a wavelength of 1.5418 Å
Structure: a PBE-relaxed structure
Intensities are scaled so that the largest is 100.

Peak list (10 most intense, 2θ = 15–90°, low angle first)
| h k l | two_theta | I_rel |
| --- | --- | --- |
| 0 1 3 | 27.90 | 98 |
| 1 1 0 | 28.11 | 94 |
| 1 0 3 | 32.35 | 100 |
| 0 2 0 | 32.63 | 49 |
| 2 0 0 | 46.62 | 89 |
| 1 1 6 | 54.89 | 32 |
| 2 1 3 | 55.25 | 31 |
| 0 2 6 | 57.64 | 18 |
| 2 2 0 | 58.11 | 18 |
| 2 3 3 | 75.26 | 19 |

Structure:
a b c (Å): 3.892 5.489 11.807
angles (deg): 90.00 90.00 90.00
Space group Immm (No. 71)
Inequivalent atoms, fractional coordinates:
Ba  0.000  0.000  0.168
Ac  0.000  0.000  0.500
O  0.000  0.500  0.143
O  0.000  0.500  0.500



Simulated X-ray diffraction stick pattern
Compound: Li8Al3Si5
Radiation: a wavelength of 1.5418 Å
Structure: a PBE-relaxed structure
Intensities are scaled so that the largest is 100.

Peak list (8 most intense, 2θ = 15–90°, low angle first)
| h k l | two_theta | I_rel |
| --- | --- | --- |
| 1 1 1 | 24.67 | 67 |
| 2 2 0 | 40.84 | 100 |
| 3 1 1 | 48.30 | 28 |
| 4 0 0 | 59.13 | 16 |
| 3 3 1 | 65.05 | 12 |
| 4 2 2 | 74.36 | 33 |
| 5 1 1 | 79.73 | 9 |
| 4 4 0 | 88.50 | 11 |

Structure:
a b c (Å): 6.250 6.250 6.250
angles (deg): 90.00 90.00 90.00
Space group P-43m (No. 215)
Inequivalent atoms, fractional coordinates:
Li  0.000  0.000  0.000
Li  0.000  0.500  0.500
Li  0.255  0.255  0.745
Al  0.000  0.000  0.500
Si  0.247  0.247  0.247
Si  0.500  0.500  0.500



Simulated X-ray diffraction stick pattern
Compound: UAgS3
Radiation: a wavelength of 1.5418 Å
Structure: a PBE-relaxed structure
Intensities are scaled so that the largest is 100.

Peak list (10 most intense, 2θ = 15–90°, low angle first)
| h k l | two_theta | I_rel |
| --- | --- | --- |
| 1 0 0 | 15.11 | 73 |
| 1 0 -2 | 17.74 | 31 |
| 0 0 2 | 18.20 | 59 |
| 0 2 1 | 27.42 | 67 |
| 1 0 -4 | 32.92 | 39 |
| 1 2 1 | 33.43 | 100 |
| 1 1 -4 | 35.47 | 30 |
| 2 2 -1 | 38.16 | 64 |
| 2 2 -3 | 40.51 | 45 |
| 1 2 3 | 45.78 | 35 |

Structure:
a b c (Å): 6.547 6.900 10.887
angles (deg): 90.00 116.44 90.00
Space group P2_1/c (No. 14)
Inequivalent atoms, fractional coordinates:
U  0.166  0.124  0.196
Ag  0.172  0.624  0.131
S  0.159  0.135  0.944
S  0.169  0.622  0.889
S  0.488  0.116  0.763



Simulated X-ray diffraction stick pattern
Compound: AcPr6Ho2
Radiation: a wavelength of 1.5418 Å
Structure: a PBE-relaxed structure
Intensities are scaled so that the largest is 100.

Peak list (10 most intense, 2θ = 15–90°, low angle first)
| h k l | two_theta | I_rel |
| --- | --- | --- |
| 0 2 3 | 30.36 | 93 |
| 2 0 0 | 30.58 | 100 |
| 2 2 3 | 43.63 | 35 |
| 0 0 6 | 50.43 | 8 |
| 3 1 3 | 54.18 | 24 |
| 3 3 0 | 54.29 | 26 |
| 2 0 6 | 60.14 | 27 |
| 2 6 0 | 63.73 | 8 |
| 3 3 6 | 77.26 | 9 |
| 4 6 0 | 88.46 | 10 |

Structure:
a b c (Å): 5.858 10.109 10.858
angles (deg): 90.00 90.00 90.00
Space group Cmmm (No. 65)
Inequivalent atoms, fractional coordinates:
Ac  0.000  0.000  0.000
Pr  0.000  0.000  0.342
Pr  0.000  0.333  0.176
Ho  0.000  0.333  0.500



Simulated X-ray diffraction stick pattern
Compound: RbMo6S8
Radiation: a wavelength of 1.5418 Å
Structure: a PBE-relaxed structure
Intensities are scaled so that the largest is 100.

Peak list (10 most intense, 2θ = 15–90°, low angle first)
| h k l | two_theta | I_rel |
| --- | --- | --- |
| 0 1 2 | 18.48 | 38 |
| 1 1 0 | 18.91 | 31 |
| 3 -1 1 | 30.04 | 63 |
| 3 -2 2 | 32.81 | 52 |
| 0 1 5 | 39.47 | 45 |
| 4 -3 1 | 40.73 | 42 |
| 2 1 4 | 42.30 | 41 |
| 3 1 2 | 42.89 | 31 |
| 4 -2 3 | 44.88 | 100 |
| 5 -3 2 | 51.34 | 27 |

Structure:
a b c (Å): 9.3878 9.3878 11.8941
angles (deg): 90.00 90.00 120.00
Space group R-3 (No. 148, hexagonal axes)
Inequivalent atoms, fractional coordinates:
Rb  0.0000  0.0000  0.0000
Mo  0.0071  0.1690  0.4036
S  0.0000  0.0000  0.2511
S  0.0158  0.3113  0.5816



Simulated X-ray diffraction stick pattern
Compound: NpMn5P3
Radiation: a wavelength of 1.5418 Å
Structure: a PBE-relaxed structure
Intensities are scaled so that the largest is 100.

Peak list (10 most intense, 2θ = 15–90°, low angle first)
| h k l | two_theta | I_rel |
| --- | --- | --- |
| 1 1 1 | 26.27 | 60 |
| 0 4 1 | 31.11 | 59 |
| 1 3 0 | 32.84 | 62 |
| 1 1 3 | 35.47 | 100 |
| 1 3 2 | 36.96 | 69 |
| 0 4 3 | 39.30 | 35 |
| 1 1 4 | 42.06 | 46 |
| 1 5 0 | 45.04 | 35 |
| 2 0 0 | 48.60 | 38 |
| 1 7 1 | 60.25 | 33 |

Structure:
a b c (Å): 3.747 11.933 10.751
angles (deg): 90.00 90.00 90.00
Space group Cmcm (No. 63)
Inequivalent atoms, fractional coordinates:
Np  0.000  0.181  0.250
Mn  0.000  0.000  0.000
Mn  0.000  0.191  0.558
Mn  0.000  0.453  0.144
P  0.000  0.110  0.750
P  0.000  0.375  0.554



Simulated X-ray diffraction stick pattern
Compound: MgZnF4
Radiation: a wavelength of 1.5418 Å
Structure: a PBE-relaxed structure
Intensities are scaled so that the largest is 100.

Peak list (10 most intense, 2θ = 15–90°, low angle first)
| h k l | two_theta | I_rel |
| --- | --- | --- |
| 1 0 0 | 17.09 | 25 |
| 0 1 1 | 24.52 | 63 |
| 1 1 1 | 30.04 | 100 |
| 1 1 2 | 40.90 | 27 |
| 2 1 1 | 42.84 | 22 |
| 0 1 3 | 51.90 | 16 |
| 2 2 0 | 52.48 | 26 |
| 1 2 2 | 53.48 | 42 |
| 3 1 1 | 59.16 | 17 |
| 3 0 2 | 62.85 | 20 |

Structure:
a b c (Å): 5.190 4.710 5.699
angles (deg): 90.00 90.00 90.00
Space group Pnc2 (No. 30)
Inequivalent atoms, fractional coordinates:
Mg  0.000  0.000  0.000
Zn  0.500  0.000  0.318
F  0.161  0.232  0.269
F  0.327  0.726  0.541



Simulated X-ray diffraction stick pattern
Compound: Er3AgSn
Radiation: a wavelength of 1.5418 Å
Structure: a PBE-relaxed structure
Intensities are scaled so that the largest is 100.

Peak list (10 most intense, 2θ = 15–90°, low angle first)
| h k l | two_theta | I_rel |
| --- | --- | --- |
| 1 1 0 | 23.57 | 16 |
| 1 0 2 | 27.69 | 46 |
| 0 2 1 | 28.16 | 19 |
| 0 2 2 | 32.98 | 25 |
| 1 2 1 | 34.50 | 100 |
| 1 0 3 | 35.50 | 33 |
| 2 0 0 | 39.65 | 32 |
| 0 2 3 | 39.87 | 17 |
| 2 2 1 | 49.35 | 14 |
| 2 2 2 | 52.45 | 26 |

Structure:
a b c (Å): 4.547 6.758 9.129
angles (deg): 90.00 90.00 90.00
Space group Pmmn (No. 59, origin choice 2)
Inequivalent atoms, fractional coordinates:
Er  0.250  0.006  0.187
Er  0.250  0.250  0.574
Ag  0.250  0.250  0.912
Sn  0.250  0.750  0.643



Simulated X-ray diffraction stick pattern
Compound: Ba2PbO2F2
Radiation: a wavelength of 1.5418 Å
Structure: a PBE-relaxed structure
Intensities are scaled so that the largest is 100.

Peak list (10 most intense, 2θ = 15–90°, low angle first)
| h k l | two_theta | I_rel |
| --- | --- | --- |
| 1 1 0 | 26.49 | 96 |
| 1 0 3 | 26.88 | 100 |
| 1 0 5 | 37.51 | 66 |
| 2 0 0 | 37.82 | 49 |
| 2 1 3 | 47.01 | 45 |
| 2 1 5 | 54.32 | 45 |
| 2 2 0 | 54.56 | 16 |
| 1 1 8 | 59.99 | 15 |
| 3 1 0 | 61.65 | 18 |
| 3 2 5 | 80.61 | 14 |

Structure:
a b c (Å): 4.758 4.758 13.880
angles (deg): 90.00 90.00 90.00
Space group I4/mmm (No. 139)
Inequivalent atoms, fractional coordinates:
Ba  0.000  0.000  0.123
Pb  0.000  0.000  0.500
O  0.000  0.500  0.000
F  0.000  0.000  0.305



Simulated X-ray diffraction stick pattern
Compound: Pm3Ga3Pt
Radiation: a wavelength of 1.5418 Å
Structure: a PBE-relaxed structure
Intensities are scaled so that the largest is 100.

Peak list (10 most intense, 2θ = 15–90°, low angle first)
| h k l | two_theta | I_rel |
| --- | --- | --- |
| 1 1 2 | 31.87 | 100 |
| 1 0 5 | 32.60 | 51 |
| 1 1 4 | 35.79 | 20 |
| 0 1 7 | 38.27 | 40 |
| 0 2 0 | 40.45 | 30 |
| 1 1 6 | 41.59 | 24 |
| 2 0 0 | 46.64 | 20 |
| 1 2 5 | 52.88 | 26 |
| 2 1 7 | 61.86 | 19 |
| 1 3 2 | 68.24 | 19 |

Structure:
a b c (Å): 3.894 4.460 19.374
angles (deg): 90.00 90.00 90.00
Space group Imm2 (No. 44)
Inequivalent atoms, fractional coordinates:
Pm  0.000  0.000  0.000
Pm  0.000  0.000  0.372
Pm  0.000  0.500  0.194
Ga  0.000  0.000  0.549
Ga  0.000  0.000  0.832
Ga  0.000  0.500  0.627
Pt  0.000  0.500  0.758



Simulated X-ray diffraction stick pattern
Compound: Pr2Y4Tm5
Radiation: a wavelength of 1.5418 Å
Structure: a PBE-relaxed structure
Intensities are scaled so that the largest is 100.

Peak list (10 most intense, 2θ = 15–90°, low angle first)
| h k l | two_theta | I_rel |
| --- | --- | --- |
| 1 1 0 | 26.05 | 22 |
| 3 1 1 | 30.46 | 73 |
| 8 0 -1 | 30.87 | 100 |
| 2 0 -3 | 31.03 | 83 |
| 6 0 2 | 32.26 | 73 |
| 5 1 -2 | 37.18 | 47 |
| 5 1 2 | 39.46 | 32 |
| 8 2 -1 | 62.57 | 29 |
| 2 2 -3 | 62.67 | 22 |
| 6 2 2 | 63.38 | 29 |

Structure:
a b c (Å): 23.812 3.457 8.727
angles (deg): 90.00 96.14 90.00
Space group C2/m (No. 12)
Inequivalent atoms, fractional coordinates:
Pr  0.093  0.000  0.250
Y  0.046  0.000  0.860
Y  0.179  0.500  0.976
Tm  0.000  0.500  0.500
Tm  0.142  0.000  0.624
Tm  0.234  0.000  0.329



Simulated X-ray diffraction stick pattern
Compound: Mg5ZnGa2
Radiation: a wavelength of 1.5418 Å
Structure: a PBE-relaxed structure
Intensities are scaled so that the largest is 100.

Peak list (10 most intense, 2θ = 15–90°, low angle first)
| h k l | two_theta | I_rel |
| --- | --- | --- |
| 0 2 0 | 16.80 | 84 |
| 0 2 1 | 18.37 | 37 |
| 1 1 3 | 29.42 | 32 |
| 2 0 0 | 34.43 | 100 |
| 0 4 1 | 34.82 | 74 |
| 1 1 4 | 35.60 | 64 |
| 1 3 3 | 38.22 | 81 |
| 1 1 5 | 42.38 | 92 |
| 1 3 4 | 43.30 | 46 |
| 2 4 1 | 49.78 | 52 |

Structure:
a b c (Å): 5.209 10.552 11.985
angles (deg): 90.00 90.00 90.00
Space group Cmcm (No. 63)
Inequivalent atoms, fractional coordinates:
Mg  0.000  0.053  0.250
Mg  0.000  0.133  0.536
Mg  0.000  0.422  0.605
Zn  0.000  0.221  0.750
Ga  0.000  0.307  0.141